For Sm4GeRh3, the PBE geometry in Alexandria gives the computed PXRD pattern in this record (Cu Kα).
Intensities are scaled so that the largest is 100.

Largest 10 diffraction maxima, by intensity, 5 to 70 degrees two-theta:
2θ 31.8, I = 100; 2θ 39.8, I = 56; 2θ 33.4, I = 31; 2θ 33.1, I = 27; 2θ 42.8, I = 25; 2θ 39.5, I = 22; 2θ 45.1, I = 22; 2θ 55.3, I = 21; 2θ 63.9, I = 15; 2θ 64.6, I = 13

Structural model:
Lattice parameters (Å, degrees): 4.0226 4.2277 10.8219 90.00 90.00 90.00
Atoms (fractional coordinates):
1 Sm 0.0000 0.0000 0.0000
2 Sm 0.0000 0.5000 0.2764
3 Sm 0.5000 0.0000 0.4901
4 Sm 0.5000 0.5000 0.7791
5 Ge 0.0000 0.0000 0.7085
6 Rh 0.0000 0.5000 0.5609
7 Rh 0.5000 0.0000 0.2201
8 Rh 0.5000 0.5000 0.0475

For Zr3Cu3Bi4, the PBE geometry in Alexandria gives the computed PXRD pattern in this record (Cu Kα).
Intensities are scaled so that the largest is 100.

Largest 10 diffraction maxima, by intensity, 5 to 70 degrees two-theta:
2θ 35.0, I = 100; 2θ 29.5, I = 38; 2θ 46.4, I = 24; 2θ 22.7, I = 24; 2θ 48.5, I = 21; 2θ 59.5, I = 13; 2θ 69.4, I = 13; 2θ 42.2, I = 11; 2θ 66.2, I = 11; 2θ 61.2, I = 10

Structural model:
Lattice parameters (Å, degrees): 8.2964 8.2964 8.2964 109.47 109.47 109.47
Atoms (fractional coordinates):
1 Zr 0.1250 0.8750 0.2500
2 Zr 0.2500 0.1250 0.8750
3 Zr 0.3750 0.6250 0.7500
4 Zr 0.6250 0.7500 0.3750
5 Zr 0.7500 0.3750 0.6250
6 Zr 0.8750 0.2500 0.1250
7 Cu 0.1250 0.7500 0.8750
8 Cu 0.2500 0.6250 0.3750
9 Cu 0.3750 0.2500 0.6250
10 Cu 0.6250 0.3750 0.2500
11 Cu 0.7500 0.8750 0.1250
12 Cu 0.8750 0.1250 0.7500
13 Bi 0.0000 0.1771 0.5000
14 Bi 0.0000 0.6771 0.5000
15 Bi 0.1771 0.5000 0.0000
16 Bi 0.3229 0.3229 0.3229
17 Bi 0.5000 0.0000 0.1771
18 Bi 0.5000 0.0000 0.6771
19 Bi 0.6771 0.5000 0.0000
20 Bi 0.8229 0.8229 0.8229

For Ho3MgAl12, the PBE geometry in Alexandria gives the computed PXRD pattern in this record (Cu Kα).
Intensities are scaled so that the largest is 100.

Largest 10 diffraction maxima, by intensity, 5 to 70 degrees two-theta:
2θ 36.9, I = 100; 2θ 21.1, I = 72; 2θ 29.9, I = 61; 2θ 42.9, I = 49; 2θ 5.2, I = 43; 2θ 48.2, I = 33; 2θ 62.2, I = 32; 2θ 53.2, I = 25; 2θ 66.5, I = 16; 2θ 10.5, I = 11

Structural model:
Lattice parameters (Å, degrees): 4.2206 4.2206 16.8780 90.00 90.00 90.00
Atoms (fractional coordinates):
1 Ho 0.0000 0.0000 0.0000
2 Ho 0.0000 0.0000 0.2534
3 Ho 0.0000 0.0000 0.7466
4 Mg 0.0000 0.0000 0.5000
5 Al 0.0000 0.5000 0.1270
6 Al 0.0000 0.5000 0.3823
7 Al 0.0000 0.5000 0.6177
8 Al 0.0000 0.5000 0.8730
9 Al 0.5000 0.0000 0.1270
10 Al 0.5000 0.0000 0.3823
11 Al 0.5000 0.0000 0.6177
12 Al 0.5000 0.0000 0.8730
13 Al 0.5000 0.5000 0.0000
14 Al 0.5000 0.5000 0.2508
15 Al 0.5000 0.5000 0.5000
16 Al 0.5000 0.5000 0.7492